No. 1
Simulated powder XRD pattern
Compound: Pr2Sm6DyEr3
Radiation: λ = 1.5418 Å (Cu Kα)
Structure: a GGA-PBE-relaxed structure
Peak positions follow from Bragg's law for the DFT cell and can differ from measured ones.

Most intense lines, 15° ≤ 2θ ≤ 90°, low angle first:
| two_theta | I_rel |
| --- | --- |
| 30.4 | 100 |
| 30.4 | 33 |
| 35.2 | 67 |
| 50.6 | 24 |
| 50.7 | 24 |
| 60.2 | 43 |
| 60.3 | 14 |
| 63.1 | 12 |

Crystal structure
abc: 6.249 10.822 11.929
angles: 90.00 100.04 90.00
Space group C2/m (No. 12)
Symmetry-distinct sites (fractional):
Pr (0.000, 0.167, 0.000) x4
Sm (0.247, 0.500, 0.745) x4
Sm (0.249, 0.166, 0.746) x8
Dy (0.000, 0.500, 0.000) x2
Er (0.000, 0.000, 0.500) x2
Er (0.000, 0.334, 0.500) x4

No. 2
Simulated powder XRD pattern
Compound: Pr2SmDy4Er
Radiation: λ = 1.5418 Å (Cu Kα)
Structure: a GGA-PBE-relaxed structure
Peak positions follow from Bragg's law for the DFT cell and can differ from measured ones.

Most intense lines, 15° ≤ 2θ ≤ 90°, low angle first:
| two_theta | I_rel |
| --- | --- |
| 30.5 | 100 |
| 35.2 | 17 |
| 35.4 | 17 |
| 35.5 | 17 |
| 60.3 | 14 |
| 60.5 | 14 |
| 60.7 | 14 |
| 63.5 | 12 |

Crystal structure
abc: 5.078 5.100 10.112
angles: 90.00 90.00 90.00
Space group Pmmm (No. 47)
Symmetry-distinct sites (fractional):
Pr (0.000, 0.000, 0.000) x1
Pr (0.500, 0.500, 0.500) x1
Sm (0.000, 0.000, 0.500) x1
Dy (0.000, 0.500, 0.248) x2
Dy (0.500, 0.000, 0.249) x2
Er (0.500, 0.500, 0.000) x1

No. 3
Simulated powder XRD pattern
Compound: PrSmDy2Er2
Radiation: λ = 1.5418 Å (Cu Kα)
Structure: a GGA-PBE-relaxed structure
Peak positions follow from Bragg's law for the DFT cell and can differ from measured ones.

Most intense lines, 15° ≤ 2θ ≤ 90°, low angle first:
| two_theta | I_rel |
| --- | --- |
| 29.0 | 100 |
| 30.0 | 81 |
| 30.3 | 97 |
| 31.3 | 34 |
| 33.0 | 34 |
| 33.9 | 57 |
| 35.9 | 37 |
| 41.1 | 71 |

Crystal structure
abc: 6.563 17.871 3.401
angles: 90.00 90.00 90.00
Space group Pnnm (No. 58)
Symmetry-distinct sites (fractional):
Pr (0.000, 0.000, 0.000) x2
Sm (0.000, 0.500, 0.000) x2
Dy (0.223, 0.186, 0.000) x4
Er (0.221, 0.351, 0.500) x4

No. 4
Simulated powder XRD pattern
Compound: PrSm3Dy2Er6
Radiation: λ = 1.5418 Å (Cu Kα)
Structure: a GGA-PBE-relaxed structure
Peak positions follow from Bragg's law for the DFT cell and can differ from measured ones.

Most intense lines, 15° ≤ 2θ ≤ 90°, low angle first:
| two_theta | I_rel |
| --- | --- |
| 30.8 | 100 |
| 30.9 | 33 |
| 35.7 | 67 |
| 51.3 | 24 |
| 51.5 | 24 |
| 61.0 | 19 |
| 61.1 | 19 |
| 61.3 | 14 |

Crystal structure
abc: 6.173 10.685 11.742
angles: 90.00 100.05 90.00
Space group C2/m (No. 12)
Symmetry-distinct sites (fractional):
Pr (0.000, 0.000, 0.000) x2
Sm (0.000, 0.167, 0.500) x4
Sm (0.000, 0.500, 0.500) x2
Dy (0.000, 0.333, 0.000) x4
Er (0.249, 0.500, 0.249) x4
Er (0.250, 0.167, 0.250) x8